The following is a computed powder XRD pattern of Al7Co8. It was derived from a GGA-PBE-relaxed structure, using Cu Kα X-rays.
Intensities are scaled so that the largest is 100.

Atomic structure:
Cell: 8.831 8.831 4.692 Å, 90.00 90.00 90.00°
Space group P4_2/mnm (No. 136)
Unique sites:
Al (0.000, 0.000, 0.000) x2
Al (0.067, 0.283, 0.000) x8
Al (0.110, 0.110, 0.500) x4
Co (0.040, 0.366, 0.500) x8
Co (0.175, 0.825, 0.253) x8

Main lines, in order of rising 2θ (2θ = 10–90°):
d/Å, 2θ (°), Rel. int., (hkl)
6.244, 14.18, 26, 1 1 0
3.949, 22.51, 39, 2 1 0
2.196, 41.10, 23, 1 1 2
2.142, 42.19, 100, 4 1 0
2.081, 43.48, 66, 3 3 0
2.072, 43.69, 44, 2 0 2
2.017, 44.94, 78, 2 1 2
1.948, 46.62, 72, 4 1 1
1.903, 47.81, 24, 3 3 1
1.796, 50.83, 26, 3 1 2
1.344, 70.00, 30, 5 2 2
1.272, 74.59, 17, 5 3 2